Diffraction record for TbH2ClO2. The X-ray diffraction stick pattern is calculated, not measured: it uses a structure optimized by DFT (PBE) and Cu Kα (λ = 1.5418 Å).
Kinematic intensities with the Lorentz-polarization factor, no thermal factor.

Top 10 peaks for 10 to 80 degrees two-theta, sorted by position:
hkl	2θ (°)	I_rel
0 0 1	14.01	100
1 0 -1	16.82	34
1 0 1	24.09	50
1 0 -2	27.10	29
1 1 0	28.52	43
1 1 -1	29.41	69
2 0 0	30.79	33
1 1 1	34.23	34
0 1 2	37.34	59
2 1 -2	42.03	30

Atomic structure:
Unit cell a=6.1821 b=3.7156 c=6.7306 alpha=90.00 beta=110.03 gamma=90.00
Space group P2_1/m (No. 11)
One atom of each set of equivalent atoms:
Tb (0.2023, 0.2500, 0.3785)
H (0.1807, 0.2500, 0.8025)
H (0.3824, 0.7500, 0.7241)
Cl (0.2576, 0.7500, 0.0675)
O (0.0628, 0.2500, 0.6620)
O (0.3980, 0.7500, 0.5850)

***

Diffraction record for YH12Cl3O6. The X-ray diffraction stick pattern is calculated, not measured: it uses a structure optimized by DFT (PBE) and Cu Kα (λ = 1.5418 Å).
Kinematic intensities with the Lorentz-polarization factor, no thermal factor.

Top 10 peaks for 10 to 80 degrees two-theta, sorted by position:
hkl	2θ (°)	I_rel
1 0 0	14.09	82
1 0 -2	14.99	85
0 1 1	16.38	55
1 1 -1	17.64	57
0 0 2	18.43	44
2 0 -2	22.62	71
1 1 1	25.09	100
1 1 -3	26.13	87
3 1 -2	37.63	61
0 2 3	39.33	69

Atomic structure:
Unit cell a=7.8764 b=6.5396 c=12.0672 alpha=90.00 beta=127.05 gamma=90.00
Space group P2/c (No. 13)
One atom of each set of equivalent atoms:
Y (0.0000, 0.1551, 0.2500)
H (0.0306, 0.4477, 0.8850)
H (0.2012, 0.4720, 0.1826)
H (0.2398, 0.0916, 0.1312)
H (0.3228, 0.0871, 0.7393)
H (0.3693, 0.3317, 0.5309)
H (0.4668, 0.2463, 0.4592)
Cl (0.2007, 0.1661, 0.9430)
Cl (0.5000, 0.3669, 0.7500)
O (0.0566, 0.4257, 0.1455)
O (0.2574, 0.0499, 0.2167)
O (0.3322, 0.2957, 0.4392)